The following is a simulated powder diffractogram of LaY2WO8. It was derived from a DFT-relaxed cell (PBE+U, Alexandria), using Cu Kα (weighted mean of Kα1 and Kα2).
Lines closer than 0.1° are merged.

Crystal structure
abc: 5.052 5.052 7.079
angles: 90.00 90.00 90.72
Atoms (fractional coordinates):
La 0.000 0.000 0.000
Y 0.500 0.500 0.261
Y 0.500 0.500 0.739
W 0.000 0.000 0.500
O 0.185 0.815 0.297
O 0.185 0.815 0.703
O 0.277 0.277 0.500
O 0.319 0.319 0.000
O 0.681 0.681 0.000
O 0.723 0.723 0.500
O 0.815 0.185 0.297
O 0.815 0.185 0.703

Top 8 peaks for 2θ from 10° to 80°, in order of rising 2θ:
Position (°2θ), d [Å], Rel. int.
17.6, 5.051, 18
24.8, 3.595, 58
25.1, 3.549, 59
30.8, 2.899, 100
35.6, 2.525, 36
47.6, 1.911, 40
47.9, 1.897, 38
60.9, 1.521, 23